Record 1
Simulated powder X-ray diffraction pattern of Sm4InSe2 for Cu Kα X-rays, from the PBE geometry in Alexandria.
Kinematic intensities with the Lorentz-polarization factor, no thermal factor.

Atomic structure:
Lattice parameters (Å, degrees): 4.147 13.800 14.255 90.00 90.00 90.00
Space group Cmcm (No. 63)
One atom of each set of equivalent atoms:
Sm1 0.000 0.000 0.000
Sm2 0.000 0.271 0.121
Sm3 0.000 0.432 0.750
In1 0.000 0.105 0.750
Se1 0.000 0.364 0.559

Principal peaks in the range 2θ from 15° to 90°, in order of falling intensity:
Position (°2θ), I (rel.), hkl
29.67, 100, 1 3 1
28.18, 81, 0 2 4
43.68, 46, 2 0 0
31.64, 45, 1 3 2
38.88, 40, 1 1 5
29.31, 29, 1 1 3
52.77, 28, 2 2 4
43.76, 27, 1 5 3



Record 2
Simulated powder X-ray diffraction pattern of K2MgRuO6 for Cu Kα X-rays, from the PBE geometry in Alexandria.
Kinematic intensities with the Lorentz-polarization factor, no thermal factor.

Atomic structure:
Lattice parameters (Å, degrees): 6.0218 6.0218 5.2160 90.00 90.00 120.00
Space group P-3m1 (No. 164)
One atom of each set of equivalent atoms:
K1 0.3333 0.6667 0.3073
Mg1 0.0000 0.0000 0.0000
Ru1 0.0000 0.0000 0.5000
O1 0.1447 0.2894 0.7193

Principal peaks in the range 2θ from 15° to 90°, in order of falling intensity:
Position (°2θ), I (rel.), hkl
17.00, 100, 0 0 1
38.60, 49, 0 2 1
29.67, 41, 1 1 0
49.43, 30, 0 2 2
24.13, 29, 1 0 1
58.71, 20, 2 1 2
34.39, 18, 1 1 1
64.41, 15, 2 0 3



Record 3
Simulated powder X-ray diffraction pattern of Eu2AlSn for Cu Kα X-rays, from the PBE geometry in Alexandria.
Kinematic intensities with the Lorentz-polarization factor, no thermal factor.

Atomic structure:
Lattice parameters (Å, degrees): 4.990 4.990 4.503 90.00 90.00 90.00
Space group P4/mmm (No. 123)
One atom of each set of equivalent atoms:
Eu1 0.000 0.500 0.000
Al1 0.000 0.000 0.500
Sn1 0.500 0.500 0.500

Principal peaks in the range 2θ from 15° to 90°, in order of falling intensity:
Position (°2θ), I (rel.), hkl
32.23, 100, 1 1 1
35.99, 37, 2 0 0
62.35, 30, 3 1 1
54.92, 22, 2 0 2
40.04, 14, 0 0 2
51.82, 13, 2 2 0
67.43, 12, 2 2 2
67.85, 12, 1 1 3



Record 4
Simulated powder X-ray diffraction pattern of Ac12PrPb7 for Cu Kα X-rays, from the PBE geometry in Alexandria.
Kinematic intensities with the Lorentz-polarization factor, no thermal factor.

Atomic structure:
Lattice parameters (Å, degrees): 16.9908 16.9908 9.6453 90.00 90.00 120.00
Space group R-3m (No. 166, hexagonal axes)
One atom of each set of equivalent atoms:
Ac1 0.0000 0.2711 0.0000
Ac2 0.1078 0.2155 0.3813
Pr1 0.0000 0.0000 0.0000
Pb1 0.0000 0.0000 0.5000
Pb2 0.1029 0.2057 0.7627

Principal peaks in the range 2θ from 15° to 90°, in order of falling intensity:
Position (°2θ), I (rel.), hkl
28.65, 100, 3 1 2
31.59, 73, 3 3 0
33.32, 61, 0 3 3
25.92, 48, 4 0 1
47.16, 33, 0 7 2
57.37, 27, 6 3 3
46.58, 24, 0 6 3
28.00, 21, 3 2 1



Record 5
Simulated powder X-ray diffraction pattern of Dy2ScPb2 for Cu Kα X-rays, from the PBE geometry in Alexandria.
Kinematic intensities with the Lorentz-polarization factor, no thermal factor.

Atomic structure:
Lattice parameters (Å, degrees): 4.972 17.630 6.454 90.00 90.00 90.00
Space group Cmc2_1 (No. 36)
One atom of each set of equivalent atoms:
Dy1 0.000 0.000 0.000
Dy2 0.000 0.195 0.251
Sc1 0.000 0.399 0.250
Pb1 0.000 0.185 0.751
Pb2 0.000 0.422 0.750

Principal peaks in the range 2θ from 15° to 90°, in order of falling intensity:
Position (°2θ), I (rel.), hkl
31.09, 100, 1 5 0
36.55, 65, 1 3 2
36.13, 41, 2 0 0
27.64, 28, 0 0 2
63.33, 27, 2 8 2
42.08, 26, 1 5 2
50.12, 24, 0 8 2
66.44, 23, 1 5 4



Record 6
Simulated powder X-ray diffraction pattern of SrSi2P for Cu Kα X-rays, from the PBE geometry in Alexandria.
Kinematic intensities with the Lorentz-polarization factor, no thermal factor.

Atomic structure:
Lattice parameters (Å, degrees): 4.245 4.519 4.865 90.00 90.00 90.00
Space group Pmm2 (No. 25)
One atom of each set of equivalent atoms:
Sr1 0.000 0.000 0.000
Si1 0.000 0.500 0.484
Si2 0.500 0.500 0.723
P1 0.500 0.500 0.189

Principal peaks in the range 2θ from 15° to 90°, in order of falling intensity:
Position (°2θ), I (rel.), hkl
34.35, 100, 1 1 1
26.93, 76, 0 1 1
28.85, 75, 1 1 0
42.85, 49, 1 0 2
59.98, 36, 1 2 2
18.24, 34, 0 0 1
39.90, 33, 0 2 0
42.59, 27, 2 0 0



Record 7
Simulated powder X-ray diffraction pattern of Rb2TcPO6 for Cu Kα X-rays, from the PBE geometry in Alexandria.
Kinematic intensities with the Lorentz-polarization factor, no thermal factor.

Atomic structure:
Lattice parameters (Å, degrees): 5.221 5.221 10.927 90.00 90.00 90.00
Space group I4/m (No. 87)
One atom of each set of equivalent atoms:
Rb1 0.000 0.500 0.250
Tc1 0.000 0.000 0.000
P1 0.000 0.000 0.500
O1 0.000 0.000 0.164
O2 0.151 0.723 0.500

Principal peaks in the range 2θ from 15° to 90°, in order of falling intensity:
Position (°2θ), I (rel.), hkl
29.19, 100, 1 1 2
34.35, 35, 2 0 0
58.39, 31, 3 1 2
32.79, 29, 0 0 4
56.33, 20, 1 1 6
18.84, 19, 1 0 1
48.22, 19, 2 0 4
49.37, 17, 2 2 0



Record 8
Simulated powder X-ray diffraction pattern of SmBeSb for Cu Kα X-rays, from the PBE geometry in Alexandria.
Kinematic intensities with the Lorentz-polarization factor, no thermal factor.

Atomic structure:
Lattice parameters (Å, degrees): 6.3782 6.3782 12.0733 90.00 90.00 120.00
Space group P6_222 (No. 180)
One atom of each set of equivalent atoms:
Sm1 0.0000 0.5000 0.3913
Be1 0.1792 0.5896 0.1667
Sb1 0.0000 0.0000 0.1667
Sb2 0.0000 0.5000 0.6667

Principal peaks in the range 2θ from 15° to 90°, in order of falling intensity:
Position (°2θ), I (rel.), hkl
32.42, 100, 2 0 0
27.42, 43, 1 0 3
33.84, 37, 1 0 4
35.93, 23, 1 1 3
41.18, 21, 1 1 4
21.81, 19, 1 0 2
53.36, 19, 2 1 4
57.83, 19, 2 2 0